1.
Structure and theoretical powder diffraction line list of SmEr7Al4 (a DFT-relaxed cell (PBE, Alexandria); λ = 1.5418 Å (Cu Kα)).
Intensities are scaled so that the largest is 100.

Cell and atoms:
```
SmEr7Al4
1.0
6.8934 -2.7297 0.0000
6.8934 2.7297 0.0000
-5.8882 0.0000 8.5345
Sm Er Al
1 7 4
Direct
0.0000 0.0000 0.0000
0.0658 0.0658 0.3907
0.2137 0.2137 0.8764
0.2990 0.2990 0.3566
0.5000 0.5000 0.0000
0.7010 0.7010 0.6434
0.7863 0.7863 0.1236
0.9342 0.9342 0.6093
0.3227 0.3227 0.6678
0.4449 0.4449 0.2359
0.5551 0.5551 0.7641
0.6773 0.6773 0.3322
```

Main lines, by angle (2θ = 15–90°):
24.01 deg, rel. 74
26.91 deg, rel. 76
29.22 deg, rel. 56
30.94 deg, rel. 83
31.17 deg, rel. 75
31.49 deg, rel. 39
32.81 deg, rel. 100
35.02 deg, rel. 43
38.48 deg, rel. 45
42.92 deg, rel. 46

2.
Structure and theoretical powder diffraction line list of Sm2ErAl3 (a DFT-relaxed cell (PBE, Alexandria); λ = 1.5418 Å (Cu Kα)).
Intensities are scaled so that the largest is 100.

Cell and atoms:
```
Sm2ErAl3
1.0
3.6262 0.0000 0.0000
0.0000 3.6262 0.0000
0.0000 0.0000 11.0186
Sm Er Al
2 1 3
Direct
0.0000 0.0000 0.1712
0.0000 0.0000 0.8288
0.0000 0.0000 0.5000
0.5000 0.5000 0.0000
0.5000 0.5000 0.3440
0.5000 0.5000 0.6560
```

Main lines, by angle (2θ = 15–90°):
24.23 deg, rel. 31
24.55 deg, rel. 60
34.77 deg, rel. 100
34.99 deg, rel. 50
43.02 deg, rel. 28
50.33 deg, rel. 18
56.14 deg, rel. 13
56.61 deg, rel. 12
62.18 deg, rel. 18
62.62 deg, rel. 36

3.
Structure and theoretical powder diffraction line list of SmEr7Al5 (a DFT-relaxed cell (PBE, Alexandria); λ = 1.5418 Å (Cu Kα)).
Intensities are scaled so that the largest is 100.

Cell and atoms:
```
SmEr7Al5
1.0
-3.0331 5.0881 5.3385
3.0331 -5.0881 5.3385
3.0331 5.0881 -5.3385
Sm Er Al
1 7 5
Direct
0.0000 0.0000 0.0000
0.2003 0.5056 0.6947
0.2419 0.7419 0.5000
0.3484 0.3484 0.0000
0.3582 0.0199 0.3383
0.6714 0.6714 0.0000
0.6816 0.0199 0.6617
0.8109 0.5056 0.3053
0.0078 0.0153 0.4900
0.0078 0.5178 0.9924
0.5253 0.0153 0.0076
0.5253 0.5178 0.5100
0.7742 0.2742 0.5000
```

Main lines, by angle (2θ = 15–90°):
24.16 deg, rel. 44
29.09 deg, rel. 40
29.45 deg, rel. 89
30.19 deg, rel. 91
33.57 deg, rel. 32
34.11 deg, rel. 68
34.65 deg, rel. 100
37.87 deg, rel. 32
38.45 deg, rel. 56
60.71 deg, rel. 59

4.
Structure and theoretical powder diffraction line list of SmEr2Al2 (a DFT-relaxed cell (PBE, Alexandria); λ = 1.5418 Å (Cu Kα)).
Intensities are scaled so that the largest is 100.

Cell and atoms:
```
SmEr2Al2
1.0
3.6283 0.0000 0.0000
0.0000 5.1784 0.0000
-1.8151 0.0000 13.4171
Sm Er Al
2 4 4
Direct
0.1440 0.2500 0.2901
0.8560 0.7500 0.7099
0.0468 0.7500 0.0939
0.2327 0.7500 0.4663
0.7673 0.2500 0.5337
0.9532 0.2500 0.9061
0.3600 0.2500 0.7188
0.4523 0.7500 0.9047
0.5477 0.2500 0.0953
0.6400 0.7500 0.2812
```

Main lines, by angle (2θ = 15–90°):
24.76 deg, rel. 23
26.33 deg, rel. 40
33.39 deg, rel. 20
34.50 deg, rel. 100
34.64 deg, rel. 27
43.05 deg, rel. 11
44.77 deg, rel. 14
48.88 deg, rel. 14
57.80 deg, rel. 21
62.00 deg, rel. 18

5.
Structure and theoretical powder diffraction line list of TbSmErAl (a DFT-relaxed cell (PBE, Alexandria); λ = 1.5418 Å (Cu Kα)).
Intensities are scaled so that the largest is 100.

Cell and atoms:
```
TbSmErAl
1.0
3.5179 0.0000 0.0000
0.0000 3.5179 0.0000
0.0000 0.0000 9.0648
Tb Sm Er Al
1 1 1 1
Direct
0.0000 0.0000 0.0000
0.5000 0.5000 0.2925
0.0000 0.0000 0.5778
0.5000 0.5000 0.7857
```

Main lines, by angle (2θ = 15–90°):
27.19 deg, rel. 29
29.56 deg, rel. 17
32.21 deg, rel. 100
36.11 deg, rel. 43
47.33 deg, rel. 19
51.99 deg, rel. 15
54.80 deg, rel. 13
57.16 deg, rel. 17
62.49 deg, rel. 30
80.90 deg, rel. 12

6.
Structure and theoretical powder diffraction line list of SmErThAl (a DFT-relaxed cell (PBE, Alexandria); λ = 1.5418 Å (Cu Kα)).
Intensities are scaled so that the largest is 100.

Cell and atoms:
```
SmErThAl
1.0
7.6409 0.0000 0.0000
0.0000 7.6409 0.0000
0.0000 0.0000 7.6409
Sm Er Th Al
4 4 4 4
Direct
0.0000 0.0000 0.0000
0.0000 0.5000 0.5000
0.5000 0.0000 0.5000
0.5000 0.5000 0.0000
0.2500 0.2500 0.7500
0.2500 0.7500 0.2500
0.7500 0.2500 0.2500
0.7500 0.7500 0.7500
0.0000 0.0000 0.5000
0.0000 0.5000 0.0000
0.5000 0.0000 0.0000
0.5000 0.5000 0.5000
0.2500 0.2500 0.2500
0.2500 0.7500 0.7500
0.7500 0.2500 0.7500
0.7500 0.7500 0.2500
```

Main lines, by angle (2θ = 15–90°):
20.13 deg, rel. 17
23.28 deg, rel. 12
33.16 deg, rel. 100
39.10 deg, rel. 10
47.60 deg, rel. 18
52.18 deg, rel. 4
53.64 deg, rel. 5
59.24 deg, rel. 39
69.60 deg, rel. 12
79.30 deg, rel. 17

7.
Structure and theoretical powder diffraction line list of Er5Al2Sn2 (a DFT-relaxed cell (PBE, Alexandria); λ = 1.5418 Å (Cu Kα)).
Intensities are scaled so that the largest is 100.

Cell and atoms:
```
Er5Al2Sn2
1.0
7.7077 -3.9885 0.0000
7.7077 3.9885 0.0000
0.0000 0.0000 7.8456
Er Al Sn
10 4 4
Direct
0.0000 0.0000 0.0000
0.0425 0.6871 0.6753
0.1871 0.5425 0.1753
0.3129 0.9575 0.6753
0.4575 0.8129 0.1753
0.5000 0.5000 0.5000
0.5425 0.1871 0.8247
0.6871 0.0425 0.3247
0.8129 0.4575 0.8247
0.9575 0.3129 0.3247
0.1186 0.8814 0.3807
0.3814 0.6186 0.8807
0.6186 0.3814 0.1193
0.8814 0.1186 0.6193
0.2094 0.2094 0.0000
0.2906 0.2906 0.5000
0.7094 0.7094 0.5000
0.7906 0.7906 0.0000
```

Main lines, by angle (2θ = 15–90°):
25.05 deg, rel. 73
25.96 deg, rel. 57
30.79 deg, rel. 90
32.00 deg, rel. 91
32.30 deg, rel. 100
32.57 deg, rel. 93
33.18 deg, rel. 72
34.32 deg, rel. 85
36.14 deg, rel. 61
36.63 deg, rel. 58

8.
Structure and theoretical powder diffraction line list of Tb8Er6Al (a DFT-relaxed cell (PBE, Alexandria); λ = 1.5418 Å (Cu Kα)).
Intensities are scaled so that the largest is 100.

Cell and atoms:
```
Tb8Er6Al
1.0
9.3139 0.0000 0.0000
-4.6570 8.0661 0.0000
0.0000 0.0000 6.2138
Tb Er Al
8 6 1
Direct
0.0424 0.7793 0.1958
0.2207 0.2631 0.1958
0.2631 0.0424 0.8042
0.3333 0.6667 0.1923
0.6667 0.3333 0.8077
0.7369 0.9576 0.1958
0.7793 0.7369 0.8042
0.9576 0.2207 0.8042
0.0948 0.6392 0.6868
0.3608 0.4556 0.6868
0.4556 0.0948 0.3132
0.5444 0.9052 0.6868
0.6392 0.5444 0.3132
0.9052 0.3608 0.3132
0.0000 0.0000 0.5000
```

Main lines, by angle (2θ = 15–90°):
28.73 deg, rel. 20
29.29 deg, rel. 26
30.84 deg, rel. 9
32.72 deg, rel. 100
34.71 deg, rel. 15
41.49 deg, rel. 13
51.95 deg, rel. 17
53.48 deg, rel. 11
60.45 deg, rel. 12
62.76 deg, rel. 13

9.
Structure and theoretical powder diffraction line list of Tb3Er2Al3 (a DFT-relaxed cell (PBE, Alexandria); λ = 1.5418 Å (Cu Kα)).
Intensities are scaled so that the largest is 100.

Cell and atoms:
```
Tb3Er2Al3
1.0
3.6633 0.0000 0.0000
0.0000 5.1659 0.0000
0.0000 0.0000 21.5417
Tb Er Al
6 4 6
Direct
0.0000 0.0000 0.0000
0.0000 0.5000 0.1207
0.0000 0.5000 0.8793
0.5000 0.0000 0.3793
0.5000 0.0000 0.6207
0.5000 0.5000 0.5000
0.0000 0.0000 0.2308
0.0000 0.0000 0.7692
0.5000 0.5000 0.2692
0.5000 0.5000 0.7308
0.0000 0.0000 0.5000
0.0000 0.5000 0.3825
0.0000 0.5000 0.6175
0.5000 0.0000 0.1175
0.5000 0.0000 0.8825
0.5000 0.5000 0.0000
```

Main lines, by angle (2θ = 15–90°):
24.65 deg, rel. 21
26.95 deg, rel. 36
33.27 deg, rel. 20
34.32 deg, rel. 100
34.73 deg, rel. 27
43.06 deg, rel. 10
45.26 deg, rel. 14
48.86 deg, rel. 14
58.28 deg, rel. 13
61.99 deg, rel. 18

10.
Structure and theoretical powder diffraction line list of Tb2Er2Al (a DFT-relaxed cell (PBE, Alexandria); λ = 1.5418 Å (Cu Kα)).
Intensities are scaled so that the largest is 100.

Cell and atoms:
```
Tb2Er2Al
1.0
12.3866 0.0000 0.0000
0.0000 3.6835 0.0000
-6.0136 0.0000 6.2677
Tb Er Al
4 4 2
Direct
0.0825 0.0000 0.3599
0.4175 0.5000 0.6401
0.5825 0.5000 0.3599
0.9175 0.0000 0.6401
0.2371 0.5000 0.8236
0.2629 0.0000 0.1764
0.7371 0.0000 0.8236
0.7629 0.5000 0.1764
0.0000 0.5000 0.0000
0.5000 0.0000 0.0000
```

Main lines, by angle (2θ = 15–90°):
26.17 deg, rel. 22
26.28 deg, rel. 18
28.84 deg, rel. 18
31.63 deg, rel. 21
31.88 deg, rel. 45
32.39 deg, rel. 53
33.08 deg, rel. 99
33.52 deg, rel. 100
48.92 deg, rel. 20
49.49 deg, rel. 18